(1)
Starting from a crystal structure in the Materials Project, relaxed with GGA+U, the powder diffraction line list of Li3NiPCO7 was simulated for λ = 1.5418 Å (Cu Kα).

Atomic structure:
```
26
Lattice="5.0998 0.0000 0.0000 0.0000 6.4376 0.0000 -0.3958 0.0000 8.2660" Properties=species:S:1:pos:R:3 pbc="T T T"
Li 0.1553 0.0000 0.0285
Li 1.8192 1.8412 6.8192
Li 2.0359 0.7299 3.9848
Li 2.6681 3.9487 4.2812
Li 2.8849 5.0600 1.4468
Li 4.5488 3.2188 8.2375
Ni 0.0125 4.9498 6.0241
Ni 4.6916 1.7310 2.2418
P 0.0660 4.9543 2.7785
P 4.6381 1.7355 5.4875
C 2.3571 1.7751 1.1622
C 2.3469 4.9939 7.1038
O -0.0295 0.5136 6.3554
O 0.1271 2.9315 6.3179
O 0.2647 1.6266 4.1228
O 1.1211 1.6826 0.7759
O 1.5960 5.0992 2.9576
O 1.4007 5.0705 7.9959
O 2.0471 4.9962 5.8469
O 2.6569 1.7774 2.4191
O 3.3033 1.8517 0.2701
O 3.1081 1.8804 5.3084
O 3.5830 4.9014 7.4900
O 4.4394 4.8454 4.1432
O 4.5769 6.1503 1.9480
O 4.7336 3.7324 1.9106
```

Peak list (10 most intense, 2θ = 10–80°, low angle first)
2θ (°)  I_rel
17.43  100
20.03  16
21.50  38
25.61  14
27.13  19
27.71  75
35.24  17
36.37  18
40.46  20
43.19  16

***

(2)
Starting from a crystal structure in the Materials Project, relaxed with GGA+U, the powder diffraction line list of Na3Li3Mn2P2C2O14 was simulated for λ = 1.5418 Å (Cu Kα).

Atomic structure:
```
52
Lattice="6.7237 0.0000 0.0000 -0.0976 8.7669 0.0000 -0.0459 -0.1323 10.1658" Properties=species:S:1:pos:R:3 pbc="T T T"
Na 0.0000 0.0000 0.0000
Na 6.6019 8.6981 5.0853
Na 3.2882 4.2754 2.5296
Na 4.9416 5.8026 0.0283
Na 4.9343 5.7378 5.1114
Na 6.6343 4.2036 7.6052
Li 1.5983 7.2508 2.5219
Li 1.6602 7.1802 7.6046
Li 3.2171 0.0408 5.1533
Li 3.2389 0.1118 0.0793
Li 3.3832 4.0842 7.5533
Li 6.5431 4.1534 2.4614
Mn 1.6151 3.3758 0.1290
Mn 1.6156 3.3111 5.2120
Mn 4.9761 0.8664 2.3927
Mn 4.9644 0.8026 7.4737
P 1.6350 1.2890 2.7715
P 1.6732 1.2280 7.8536
P 4.8918 2.7913 9.9156
P 4.9700 2.8559 4.8305
C 1.6256 6.0571 4.9801
C 1.6148 5.9921 10.0662
C 4.8528 6.9064 7.6908
C 4.9794 6.9748 2.6096
O 0.3977 0.4254 2.3951
O 0.3828 0.4666 7.4444
O 1.5230 2.7434 2.2200
O 1.5740 5.2022 3.9943
O 1.5689 5.1390 9.0793
O 1.5809 5.6277 6.2138
O 1.6158 5.6927 1.1331
O 1.7264 2.6869 7.3044
O 1.7601 1.3885 4.3277
O 1.7492 1.3192 9.4139
O 1.7194 7.3186 4.7145
O 1.6989 7.2548 9.8024
O 2.8519 0.5025 2.2057
O 2.8402 0.3481 7.3164
O 3.7229 3.7573 0.2395
O 3.7366 3.7006 5.2748
O 4.7769 5.6102 7.7827
O 4.8824 1.4030 5.3619
O 4.9101 1.4688 0.2819
O 4.8676 2.7406 8.3504
O 4.8761 7.7094 3.6756
O 4.8705 7.6455 8.7592
O 4.9277 7.5490 1.4438
O 4.9179 7.4819 6.5283
O 5.0470 2.8046 3.2660
O 5.1264 5.6852 2.7034
O 6.2077 3.6951 0.2279
O 6.2210 3.6141 5.3514
```

Peak list (10 most intense, 2θ = 10–80°, low angle first)
2θ (°)  I_rel
10.09  92
20.08  31
20.31  27
26.52  100
26.68  31
33.44  41
33.79  24
35.29  63
49.37  22
54.60  23

***

(3)
Starting from a crystal structure in the Materials Project, relaxed with GGA+U, the powder diffraction line list of Li5Mn3O8 was simulated for λ = 1.5418 Å (Cu Kα).

Atomic structure:
```
16
Lattice="9.7232 -1.4399 0.0000 9.7232 1.4399 0.0000 -0.4840 0.0000 5.2203" Properties=species:S:1:pos:R:3 pbc="T T T"
Li 0.0000 0.0000 0.0000
Li 2.1113 0.0000 1.9887
Li 7.4585 0.0000 0.5637
Li 11.5039 0.0000 4.6566
Li 16.8511 0.0000 3.2316
Mn 4.5143 0.0000 3.9218
Mn 9.4812 0.0000 2.6102
Mn 14.4481 0.0000 1.2985
O 0.7645 0.0000 3.5014
O 3.7072 0.0000 0.4399
O 5.7380 0.0000 2.1445
O 8.2134 0.0000 4.0755
O 10.7490 0.0000 1.1449
O 13.2243 0.0000 3.0758
O 15.2552 0.0000 4.7805
O 18.1979 0.0000 1.7190
```

Peak list (10 most intense, 2θ = 10–80°, low angle first)
2θ (°)  I_rel
16.98  14
18.33  100
20.06  11
34.76  16
36.13  23
42.48  34
43.70  63
57.54  10
62.13  18
63.04  18

***

Please write out number 3 again, unchanged.
Starting from a crystal structure in the Materials Project, relaxed with GGA+U, the powder diffraction line list of Li5Mn3O8 was simulated for λ = 1.5418 Å (Cu Kα).

Atomic structure:
```
16
Lattice="9.7232 -1.4399 0.0000 9.7232 1.4399 0.0000 -0.4840 0.0000 5.2203" Properties=species:S:1:pos:R:3 pbc="T T T"
Li 0.0000 0.0000 0.0000
Li 2.1113 0.0000 1.9887
Li 7.4585 0.0000 0.5637
Li 11.5039 0.0000 4.6566
Li 16.8511 0.0000 3.2316
Mn 4.5143 0.0000 3.9218
Mn 9.4812 0.0000 2.6102
Mn 14.4481 0.0000 1.2985
O 0.7645 0.0000 3.5014
O 3.7072 0.0000 0.4399
O 5.7380 0.0000 2.1445
O 8.2134 0.0000 4.0755
O 10.7490 0.0000 1.1449
O 13.2243 0.0000 3.0758
O 15.2552 0.0000 4.7805
O 18.1979 0.0000 1.7190
```

Peak list (10 most intense, 2θ = 10–80°, low angle first)
2θ (°)  I_rel
16.98  14
18.33  100
20.06  11
34.76  16
36.13  23
42.48  34
43.70  63
57.54  10
62.13  18
63.04  18